No. 1
Computed X-ray powder pattern of KHgSe2O6 for CuKα, from a structure optimized by DFT (PBE).

Structure:
a b c (Å): 6.925 6.925 6.925
angles (deg): 49.24 49.24 49.24
Fractional positions:
K  0.000  0.000  0.000
Hg  0.500  0.500  0.500
Se  0.274  0.274  0.274
Se  0.726  0.726  0.726
O  0.055  0.721  0.499
O  0.279  0.501  0.945
O  0.499  0.055  0.721
O  0.501  0.945  0.279
O  0.721  0.499  0.055
O  0.945  0.279  0.501

Main lines, in order of rising 2θ (2θ from 10° to 80°):
18.41°, rel. 53
26.48°, rel. 100
30.37°, rel. 28
31.00°, rel. 54
41.22°, rel. 22
43.69°, rel. 16
43.95°, rel. 15
52.45°, rel. 25
55.14°, rel. 16
55.46°, rel. 19

---

No. 2
Computed X-ray powder pattern of La3FeSi for CuKα, from a structure optimized by DFT (PBE).

Structure:
a b c (Å): 5.157 5.157 5.157
angles (deg): 90.00 90.00 90.00
Fractional positions:
La  0.000  0.000  0.500
La  0.000  0.500  0.000
La  0.500  0.000  0.000
Fe  0.000  0.000  0.000
Si  0.500  0.500  0.500

Main lines, in order of rising 2θ (2θ from 10° to 80°):
17.19°, rel. 56
30.01°, rel. 100
34.79°, rel. 87
39.05°, rel. 29
50.02°, rel. 61
53.29°, rel. 14
59.44°, rel. 43
62.37°, rel. 21
73.44°, rel. 10
76.10°, rel. 8

---

No. 3
Computed X-ray powder pattern of Sr2Pd3PtAu12 for CuKα, from a structure optimized by DFT (PBE).

Structure:
a b c (Å): 8.666 8.666 8.666
angles (deg): 62.46 62.46 62.46
Fractional positions:
Sr  0.124  0.124  0.124
Sr  0.876  0.876  0.876
Pd  0.000  0.500  0.500
Pd  0.500  0.000  0.500
Pd  0.500  0.500  0.000
Pt  0.500  0.500  0.500
Au  0.146  0.622  0.622
Au  0.149  0.149  0.501
Au  0.149  0.501  0.149
Au  0.378  0.378  0.854
Au  0.378  0.854  0.378
Au  0.499  0.851  0.851
Au  0.501  0.149  0.149
Au  0.622  0.146  0.622
Au  0.622  0.622  0.146
Au  0.851  0.499  0.851
Au  0.851  0.851  0.499
Au  0.854  0.378  0.378

Main lines, in order of rising 2θ (2θ from 10° to 80°):
12.14°, rel. 68
14.21°, rel. 40
20.53°, rel. 98
28.64°, rel. 100
36.99°, rel. 70
38.08°, rel. 59
40.14°, rel. 85
41.75°, rel. 87
42.09°, rel. 38
43.26°, rel. 57